(1)
The following is a theoretical X-ray diffraction stick pattern of Na3NbBr7. It was derived from a GGA-PBE-relaxed structure, using Cu Kα, 1.54184 Å.
Kinematic intensities with the Lorentz-polarization factor, no thermal factor.

Top 10 peaks for 2θ from 10° to 90°, sorted by position:
d (Å), I/Imax
7.347, 100
4.917, 32
3.375, 39
3.251, 44
3.162, 79
2.727, 35
2.461, 37
2.261, 27
2.111, 33
1.835, 28

Atomic structure:
a = 7.6356 Å, b = 7.6356 Å, c = 7.1711 Å
α = 95.95°, β = 95.95°, γ = 74.85°
Atoms (fractional coordinates):
Na  0.0000  0.0000  0.0000
Na  0.0914  0.5458  0.5294
Na  0.5458  0.0914  0.5294
Nb  0.3227  0.3227  0.0236
Br  0.1945  0.1945  0.3037
Br  0.2487  0.6459  0.2003
Br  0.3897  0.9970  0.8632
Br  0.4474  0.4474  0.7552
Br  0.6459  0.2487  0.2003
Br  0.8950  0.8950  0.6299
Br  0.9970  0.3897  0.8632

(2)
The following is a theoretical X-ray diffraction stick pattern of Na2Nb3Br9. It was derived from a GGA-PBE-relaxed structure, using Cu Kα, 1.54184 Å.
Kinematic intensities with the Lorentz-polarization factor, no thermal factor.

Top 10 peaks for 2θ from 10° to 90°, sorted by position:
d (Å), I/Imax
8.624, 72
8.228, 100
7.547, 63
3.089, 40
2.787, 48
2.762, 71
2.502, 96
1.820, 40
1.748, 36
1.724, 38

Atomic structure:
a = 10.0044 Å, b = 10.0044 Å, c = 10.0389 Å
α = 101.23°, β = 101.23°, γ = 119.10°
Atoms (fractional coordinates):
Na  0.0370  0.7175  0.6387
Na  0.2825  0.9630  0.3613
Na  0.7175  0.0370  0.6387
Na  0.9630  0.2825  0.3613
Nb  0.2856  0.4572  0.8637
Nb  0.3685  0.3685  0.1198
Nb  0.4572  0.2856  0.8637
Nb  0.5428  0.7144  0.1363
Nb  0.6315  0.6315  0.8802
Nb  0.7144  0.5428  0.1363
Br  0.0119  0.6050  0.3316
Br  0.0764  0.2888  0.9794
Br  0.1818  0.1818  0.6666
Br  0.1912  0.1912  0.2846
Br  0.2888  0.0764  0.9794
Br  0.2892  0.7108  0.0000
Br  0.3941  0.6038  0.3137
Br  0.3950  0.9881  0.6684
Br  0.3962  0.6059  0.6863
Br  0.6038  0.3941  0.3137
Br  0.6050  0.0119  0.3316
Br  0.6059  0.3962  0.6863
Br  0.7108  0.2892  0.0000
Br  0.7112  0.9236  0.0206
Br  0.8088  0.8088  0.7154
Br  0.8182  0.8182  0.3334
Br  0.9236  0.7112  0.0206
Br  0.9881  0.3950  0.6684

(3)
The following is a theoretical X-ray diffraction stick pattern of RbNaNbBr6. It was derived from a GGA-PBE-relaxed structure, using Cu Kα, 1.54184 Å.
Kinematic intensities with the Lorentz-polarization factor, no thermal factor.

Top 10 peaks for 2θ from 10° to 90°, sorted by position:
d (Å), I/Imax
7.336, 22
5.886, 39
4.834, 50
3.311, 100
2.608, 73
2.306, 22
2.175, 13
2.142, 33
2.042, 19
1.655, 13

Atomic structure:
a = 7.4200 Å, b = 7.4200 Å, c = 14.6721 Å
α = 90.00°, β = 90.00°, γ = 120.00°
Atoms (fractional coordinates):
Rb  0.0000  0.0000  0.0000
Rb  0.0000  0.0000  0.5000
Na  0.3333  0.6667  0.2500
Na  0.6667  0.3333  0.7500
Nb  0.3333  0.6667  0.7500
Nb  0.6667  0.3333  0.2500
Br  0.0396  0.3905  0.6466
Br  0.0396  0.6491  0.8534
Br  0.3509  0.3905  0.8534
Br  0.3509  0.9604  0.6466
Br  0.3905  0.0396  0.1466
Br  0.3905  0.3509  0.3534
Br  0.6095  0.6491  0.6466
Br  0.6095  0.9604  0.8534
Br  0.6491  0.0396  0.3534
Br  0.6491  0.6095  0.1466
Br  0.9604  0.3509  0.1466
Br  0.9604  0.6095  0.3534

(4)
The following is a theoretical X-ray diffraction stick pattern of NaNd2Br6. It was derived from a GGA-PBE-relaxed structure, using Cu Kα, 1.54184 Å.
Kinematic intensities with the Lorentz-polarization factor, no thermal factor.

Top 10 peaks for 2θ from 10° to 90°, sorted by position:
d (Å), I/Imax
6.207, 39
5.040, 83
3.230, 100
3.188, 25
2.541, 83
2.520, 56
2.069, 55
1.987, 27
1.615, 25
1.263, 27

Atomic structure:
a = 7.1281 Å, b = 7.1281 Å, c = 12.6215 Å
α = 90.00°, β = 90.00°, γ = 90.00°
Atoms (fractional coordinates):
Na  0.0000  0.0000  0.0000
Na  0.5000  0.5000  0.5000
Nd  0.0000  0.0000  0.3460
Nd  0.0000  0.0000  0.6540
Nd  0.5000  0.5000  0.1540
Nd  0.5000  0.5000  0.8460
Br  0.2067  0.2067  0.1726
Br  0.2067  0.2067  0.8274
Br  0.2147  0.2147  0.5000
Br  0.2853  0.7147  0.0000
Br  0.2933  0.7067  0.3274
Br  0.2933  0.7067  0.6726
Br  0.7067  0.2933  0.3274
Br  0.7067  0.2933  0.6726
Br  0.7147  0.2853  0.0000
Br  0.7853  0.7853  0.5000
Br  0.7933  0.7933  0.1726
Br  0.7933  0.7933  0.8274

(5)
The following is a theoretical X-ray diffraction stick pattern of Na2NdBr5. It was derived from a GGA-PBE-relaxed structure, using Cu Kα, 1.54184 Å.
Kinematic intensities with the Lorentz-polarization factor, no thermal factor.

Top 10 peaks for 2θ from 10° to 90°, sorted by position:
d (Å), I/Imax
7.059, 100
6.445, 45
4.459, 61
3.365, 65
3.010, 92
2.983, 64
2.853, 65
2.769, 75
2.613, 70
2.476, 66

Atomic structure:
a = 12.8904 Å, b = 8.9281 Å, c = 8.4366 Å
α = 90.00°, β = 90.00°, γ = 90.00°
Atoms (fractional coordinates):
Na  0.1795  0.0111  0.0120
Na  0.1795  0.4889  0.0120
Na  0.3205  0.5111  0.5120
Na  0.3205  0.9889  0.5120
Na  0.6795  0.0111  0.4880
Na  0.6795  0.4889  0.4880
Na  0.8205  0.5111  0.9880
Na  0.8205  0.9889  0.9880
Nd  0.0074  0.7500  0.5863
Nd  0.4926  0.2500  0.0863
Nd  0.5074  0.7500  0.9137
Nd  0.9926  0.2500  0.4137
Br  0.0082  0.7500  0.9417
Br  0.0904  0.0471  0.6611
Br  0.0904  0.4529  0.6611
Br  0.1823  0.7500  0.3619
Br  0.2131  0.2500  0.3152
Br  0.2869  0.7500  0.8152
Br  0.3177  0.2500  0.8619
Br  0.4096  0.5471  0.1611
Br  0.4096  0.9529  0.1611
Br  0.4918  0.2500  0.4417
Br  0.5082  0.7500  0.5583
Br  0.5904  0.0471  0.8389
Br  0.5904  0.4529  0.8389
Br  0.6823  0.7500  0.1381
Br  0.7131  0.2500  0.1848
Br  0.7869  0.7500  0.6848
Br  0.8177  0.2500  0.6381
Br  0.9096  0.5471  0.3389
Br  0.9096  0.9529  0.3389
Br  0.9918  0.2500  0.0583

(6)
The following is a theoretical X-ray diffraction stick pattern of Na6NdBr8. It was derived from a GGA-PBE-relaxed structure, using Cu Kα, 1.54184 Å.
Kinematic intensities with the Lorentz-polarization factor, no thermal factor.

Top 10 peaks for 2θ from 10° to 90°, sorted by position:
d (Å), I/Imax
7.040, 28
3.676, 14
3.520, 29
3.048, 100
2.155, 73
1.838, 13
1.760, 26
1.524, 12
1.363, 32
1.244, 23

Atomic structure:
a = 8.6218 Å, b = 8.6218 Å, c = 8.6218 Å
α = 60.00°, β = 60.00°, γ = 60.00°
Atoms (fractional coordinates):
Na  0.0000  0.0000  0.5000
Na  0.0000  0.5000  0.0000
Na  0.0000  0.5000  0.5000
Na  0.5000  0.0000  0.0000
Na  0.5000  0.0000  0.5000
Na  0.5000  0.5000  0.0000
Nd  0.0000  0.0000  0.0000
Br  0.2449  0.2449  0.7551
Br  0.2449  0.7551  0.2449
Br  0.2449  0.7551  0.7551
Br  0.2500  0.2500  0.2500
Br  0.7500  0.7500  0.7500
Br  0.7551  0.2449  0.2449
Br  0.7551  0.2449  0.7551
Br  0.7551  0.7551  0.2449

(7)
The following is a theoretical X-ray diffraction stick pattern of NaNdSeBr. It was derived from a GGA-PBE-relaxed structure, using Cu Kα, 1.54184 Å.
Kinematic intensities with the Lorentz-polarization factor, no thermal factor.

Top 10 peaks for 2θ from 10° to 90°, sorted by position:
d (Å), I/Imax
7.731, 61
3.406, 72
2.826, 100
2.426, 49
2.057, 45
1.944, 22
1.663, 20
1.569, 13
1.409, 22
1.293, 17

Atomic structure:
a = 7.1255 Å, b = 4.1138 Å, c = 8.0901 Å
α = 90.00°, β = 107.13°, γ = 90.00°
Atoms (fractional coordinates):
Na  0.0000  0.0000  0.0000
Na  0.5000  0.5000  0.0000
Nd  0.1866  0.0000  0.5611
Nd  0.6866  0.5000  0.5611
Se  0.0954  0.5000  0.7870
Se  0.5954  0.0000  0.7870
Br  0.2660  0.5000  0.3003
Br  0.7660  0.0000  0.3003

(8)
The following is a theoretical X-ray diffraction stick pattern of NaNdTl2Br6. It was derived from a GGA-PBE-relaxed structure, using Cu Kα, 1.54184 Å.
Kinematic intensities with the Lorentz-polarization factor, no thermal factor.

Top 10 peaks for 2θ from 10° to 90°, sorted by position:
d (Å), I/Imax
5.723, 50
4.083, 81
4.012, 54
3.446, 76
3.285, 62
2.862, 100
2.578, 81
2.330, 55
2.316, 62
1.939, 32

Atomic structure:
a = 8.1684 Å, b = 8.1684 Å, c = 8.1684 Å
α = 58.83°, β = 58.83°, γ = 58.83°
Atoms (fractional coordinates):
Na  0.0000  0.0000  0.0000
Nd  0.4958  0.4958  0.4958
Tl  0.2821  0.2821  0.2821
Tl  0.7865  0.7865  0.7865
Br  0.1536  0.7182  0.3480
Br  0.2360  0.6506  0.8305
Br  0.3480  0.1536  0.7182
Br  0.6506  0.8305  0.2360
Br  0.7182  0.3480  0.1536
Br  0.8305  0.2360  0.6506

(9)
The following is a theoretical X-ray diffraction stick pattern of NaNi2Br6. It was derived from a GGA-PBE-relaxed structure, using Cu Kα, 1.54184 Å.
Kinematic intensities with the Lorentz-polarization factor, no thermal factor.

Top 10 peaks for 2θ from 10° to 90°, sorted by position:
d (Å), I/Imax
6.636, 36
5.606, 17
4.283, 18
3.318, 13
2.909, 100
2.317, 54
2.019, 13
1.869, 27
1.826, 26
1.572, 11

Atomic structure:
a = 6.4736 Å, b = 6.4736 Å, c = 6.6360 Å
α = 90.00°, β = 90.00°, γ = 120.00°
Atoms (fractional coordinates):
Na  0.0000  0.0000  0.0000
Ni  0.3333  0.6667  0.5000
Ni  0.6667  0.3333  0.5000
Br  0.0000  0.3704  0.7152
Br  0.0000  0.6296  0.2848
Br  0.3704  0.0000  0.7152
Br  0.3704  0.3704  0.2848
Br  0.6296  0.0000  0.2848
Br  0.6296  0.6296  0.7152

(10)
The following is a theoretical X-ray diffraction stick pattern of Na3NpBr8. It was derived from a GGA-PBE-relaxed structure, using Cu Kα, 1.54184 Å.
Kinematic intensities with the Lorentz-polarization factor, no thermal factor.

Top 10 peaks for 2θ from 10° to 90°, sorted by position:
d (Å), I/Imax
7.162, 47
5.064, 28
4.135, 25
3.581, 17
2.924, 13
2.532, 100
1.986, 15
1.791, 17
1.462, 33
1.132, 13

Atomic structure:
a = 7.1622 Å, b = 7.1622 Å, c = 7.1622 Å
α = 90.00°, β = 90.00°, γ = 90.00°
Atoms (fractional coordinates):
Na  0.0000  0.0000  0.5000
Na  0.0000  0.5000  0.0000
Na  0.5000  0.0000  0.0000
Np  0.5000  0.5000  0.5000
Br  0.2636  0.2636  0.2636
Br  0.2636  0.2636  0.7364
Br  0.2636  0.7364  0.2636
Br  0.2636  0.7364  0.7364
Br  0.7364  0.2636  0.2636
Br  0.7364  0.2636  0.7364
Br  0.7364  0.7364  0.2636
Br  0.7364  0.7364  0.7364

(11)
The following is a theoretical X-ray diffraction stick pattern of NaNp2Br11. It was derived from a GGA-PBE-relaxed structure, using Cu Kα, 1.54184 Å.
Kinematic intensities with the Lorentz-polarization factor, no thermal factor.

Top 10 peaks for 2θ from 10° to 90°, sorted by position:
d (Å), I/Imax
7.778, 35
7.294, 78
5.873, 100
5.676, 44
3.877, 35
2.934, 59
2.665, 26
2.286, 26
1.987, 21
1.981, 22

Atomic structure:
a = 12.0791 Å, b = 12.0791 Å, c = 12.0791 Å
α = 123.96°, β = 99.83°, γ = 105.71°
Atoms (fractional coordinates):
Na  0.2500  0.2500  0.0000
Na  0.7500  0.7500  0.0000
Np  0.0752  0.7276  0.8028
Np  0.4248  0.2276  0.6524
Np  0.5752  0.7724  0.3476
Np  0.9248  0.2724  0.1972
Br  0.0000  0.5000  0.5000
Br  0.0509  0.5256  0.8369
Br  0.0877  0.9231  0.7538
Br  0.1479  0.9383  0.0861
Br  0.1693  0.3340  0.2462
Br  0.1886  0.0256  0.4746
Br  0.3114  0.7860  0.8369
Br  0.3307  0.5769  0.1647
Br  0.3521  0.4383  0.7904
Br  0.4123  0.1660  0.8353
Br  0.4491  0.2860  0.4746
Br  0.5000  0.0000  0.5000
Br  0.5509  0.7140  0.5254
Br  0.5877  0.8340  0.1647
Br  0.6479  0.5617  0.2096
Br  0.6693  0.4231  0.8353
Br  0.6886  0.2140  0.1631
Br  0.8114  0.9744  0.5254
Br  0.8307  0.6660  0.7538
Br  0.8521  0.0617  0.9139
Br  0.9123  0.0769  0.2462
Br  0.9491  0.4744  0.1631